The following is a computed PXRD pattern of Y2Sb2As. It was derived from a crystal structure in Alexandria, relaxed with GGA-PBE, using a wavelength of 1.5418 Å.
Intensities are scaled so that the largest is 1000.

Largest 10 diffraction maxima, most intense first, 2θ from 5° to 70°:
2theta, I/Imax, (hkl)
32.6, 1000, 2 1 1
36.5, 304, 3 1 0
25.6, 231, 1 1 1
55.4, 177, 3 1 2
40.3, 173, 0 0 2
68.1, 137, 4 4 0
68.4, 106, 2 1 3
52.6, 104, 4 1 1
46.6, 100, 4 0 0
51.1, 93, 4 0 1

Cell and atoms:
```
data_Y2Sb2As
_chemical_formula_sum 'Y4 Sb4 As2'
_cell_length_a 7.792
_cell_length_b 7.792
_cell_length_c 4.479
_cell_angle_alpha 90.00
_cell_angle_beta 90.00
_cell_angle_gamma 90.00
_space_group_name_H-M_alt 'P 1'
_space_group_IT_number 1
_space_group_name_Hall 'P 1'
loop_
_atom_site_label
_atom_site_fract_x
_atom_site_fract_y
_atom_site_fract_z
Y1 0.175 0.325 0.000
Y2 0.325 0.825 0.000
Y3 0.675 0.175 0.000
Y4 0.825 0.675 0.000
Sb1 0.132 0.632 0.500
Sb2 0.368 0.132 0.500
Sb3 0.632 0.868 0.500
Sb4 0.868 0.368 0.500
As1 0.000 0.000 0.000
As2 0.500 0.500 0.000
```



The following is a computed PXRD pattern of Zn2SbAs2. It was derived from a crystal structure in Alexandria, relaxed with GGA-PBE, using a wavelength of 1.5418 Å.
Intensities are scaled so that the largest is 1000.

Largest 10 diffraction maxima, most intense first, 2θ from 5° to 70°:
2theta, I/Imax, (hkl)
32.8, 1000, 1 1 1
30.5, 965, 2 2 0
34.2, 764, 3 1 0
37.9, 740, 2 1 1
53.2, 705, 4 0 1
42.5, 667, 2 2 1
39.2, 481, 3 2 0
45.1, 253, 4 1 0
56.6, 199, 5 1 0
45.4, 184, 3 1 1

Cell and atoms:
```
data_Zn2SbAs2
_chemical_formula_sum 'Zn4 Sb2 As4'
_cell_length_a 8.289
_cell_length_b 8.289
_cell_length_c 3.086
_cell_angle_alpha 90.00
_cell_angle_beta 90.00
_cell_angle_gamma 90.00
_space_group_name_H-M_alt 'P 1'
_space_group_IT_number 1
_space_group_name_Hall 'P 1'
loop_
_atom_site_label
_atom_site_fract_x
_atom_site_fract_y
_atom_site_fract_z
Zn1 0.105 0.395 0.000
Zn2 0.395 0.895 0.000
Zn3 0.605 0.105 0.000
Zn4 0.895 0.605 0.000
Sb1 0.000 0.000 0.500
Sb2 0.500 0.500 0.500
As1 0.214 0.714 0.500
As2 0.286 0.214 0.500
As3 0.714 0.786 0.500
As4 0.786 0.286 0.500
```



The following is a computed PXRD pattern of Zn4Sb2As. It was derived from a crystal structure in Alexandria, relaxed with GGA-PBE, using a wavelength of 1.5418 Å.
Intensities are scaled so that the largest is 1000.

Largest 10 diffraction maxima, most intense first, 2θ from 5° to 70°:
2theta, I/Imax, (hkl)
26.2, 1000, 1 3 1
45.7, 975, 1 3 3
39.8, 615, 2 0 2
46.4, 602, 2 6 0
30.4, 407, 1 1 2
34.6, 404, 2 2 1
43.8, 397, 0 6 2
29.7, 358, 2 0 0
26.4, 345, 0 4 1
64.2, 280, 3 3 3

Cell and atoms:
```
data_Zn4Sb2As
_chemical_formula_sum 'Zn16 Sb8 As4'
_cell_length_a 6.007
_cell_length_b 15.486
_cell_length_c 6.911
_cell_angle_alpha 90.00
_cell_angle_beta 90.00
_cell_angle_gamma 90.00
_space_group_name_H-M_alt 'P 1'
_space_group_IT_number 1
_space_group_name_Hall 'P 1'
loop_
_atom_site_label
_atom_site_fract_x
_atom_site_fract_y
_atom_site_fract_z
Zn1 0.032 0.154 0.138
Zn2 0.032 0.346 0.638
Zn3 0.236 0.077 0.737
Zn4 0.236 0.423 0.237
Zn5 0.264 0.577 0.737
Zn6 0.264 0.923 0.237
Zn7 0.468 0.654 0.138
Zn8 0.468 0.846 0.638
Zn9 0.532 0.154 0.362
Zn10 0.532 0.346 0.862
Zn11 0.736 0.077 0.763
Zn12 0.736 0.423 0.263
Zn13 0.764 0.577 0.763
Zn14 0.764 0.923 0.263
Zn15 0.968 0.654 0.362
Zn16 0.968 0.846 0.862
Sb1 0.023 0.683 0.984
Sb2 0.023 0.817 0.484
Sb3 0.477 0.183 0.984
Sb4 0.477 0.317 0.484
Sb5 0.523 0.683 0.516
Sb6 0.523 0.817 0.016
Sb7 0.977 0.183 0.516
Sb8 0.977 0.317 0.016
As1 0.000 0.000 0.000
As2 0.000 0.500 0.500
As3 0.500 0.000 0.500
As4 0.500 0.500 0.000
```